# 1
Structure and simulated powder XRD pattern of Pr6ScPb10 (a cell relaxed with GGA-PBE; copper Kα).

Structural model:
Lattice parameters (Å, degrees): 9.5908 9.5908 6.5656 90.00 90.00 120.00
Space group P-31m (No. 162)
Asymmetric unit:
1 Pr 0.0000 0.3905 0.2595 [6 per cell]
2 Sc 0.0000 0.0000 0.5000 [1 per cell]
3 Pb 0.0000 0.2437 0.7931 [6 per cell]
4 Pb 0.3333 0.6667 0.0000 [2 per cell]
5 Pb 0.3333 0.6667 0.5000 [2 per cell]

Principal peaks in the range 2θ from 5° to 70°, most intense first:
d (Å)	2θ/deg	I_rel	h k l
2.832	31.59	100	3 -1 1
2.709	33.07	86	1 1 2
2.769	32.34	51	3 0 0
3.139	28.43	33	2 1 0
1.936	46.93	24	2 2 2
1.795	50.86	18	3 -1 3
3.053	29.25	15	1 0 2
1.455	64.01	15	2 1 4
1.482	62.68	15	5 0 2
1.830	49.83	14	3 2 1

=====

# 2
Structure and simulated powder XRD pattern of TbPmAu5 (a cell relaxed with GGA-PBE; copper Kα).

Structural model:
Lattice parameters (Å, degrees): 6.7000 8.3042 11.5211 90.00 106.69 90.00
Space group C2/c (No. 15)
Asymmetric unit:
1 Tb 0.0000 0.1874 0.2500 [4 per cell]
2 Pm 0.2500 0.2500 0.0000 [4 per cell]
3 Au 0.0000 0.1774 0.7500 [4 per cell]
4 Au 0.1023 0.4941 0.6522 [8 per cell]
5 Au 0.1771 0.1067 0.5384 [8 per cell]

Principal peaks in the range 2θ from 5° to 70°, most intense first:
d (Å)	2θ/deg	I_rel	h k l
2.539	35.35	100	1 3 0
2.695	33.25	74	1 1 -4
2.481	36.20	64	2 0 2
2.146	42.11	39	3 1 -2
2.214	40.75	31	1 3 2
2.298	39.20	26	0 2 4
2.417	37.19	24	1 3 1
2.356	38.20	20	2 2 -3
1.616	57.00	15	1 1 6
2.757	32.47	14	0 0 4

=====

# 3
Structure and simulated powder XRD pattern of Sr2Zn2Cl (a cell relaxed with GGA-PBE; copper Kα).

Structural model:
Lattice parameters (Å, degrees): 4.4301 4.4301 25.2112 90.00 90.00 120.00
Space group R-3m (No. 166, hexagonal axes)
Asymmetric unit:
1 Sr 0.0000 0.0000 0.0832 [6 per cell]
2 Zn 0.0000 0.0000 0.3321 [6 per cell]
3 Cl 0.0000 0.0000 0.5000 [3 per cell]

Principal peaks in the range 2θ from 5° to 70°, most intense first:
d (Å)	2θ/deg	I_rel	h k l
3.053	29.25	100	0 1 5
2.215	40.73	72	1 1 0
2.626	34.15	61	1 0 7
8.404	10.53	54	0 0 3
1.524	60.76	42	1 1 12
3.277	27.21	24	1 0 4
2.101	43.05	20	0 0 12
1.793	50.93	20	2 0 5
1.394	67.17	17	1 2 5
1.693	54.17	15	0 2 7

=====

# 4
Structure and simulated powder XRD pattern of CrPb2C (a cell relaxed with GGA-PBE; copper Kα).

Structural model:
Lattice parameters (Å, degrees): 6.9414 6.9414 7.1421 90.00 90.00 90.00
Space group I-42d (No. 122)
Asymmetric unit:
1 Cr 0.0000 0.0000 0.0000 [4 per cell]
2 Pb 0.1889 0.2500 0.6250 [8 per cell]
3 C 0.0000 0.0000 0.5000 [4 per cell]

Principal peaks in the range 2θ from 5° to 70°, most intense first:
d (Å)	2θ/deg	I_rel	h k l
2.888	30.97	100	1 1 2
3.471	25.67	43	2 0 0
2.847	31.42	41	2 1 1
1.870	48.69	31	3 1 2
2.454	36.62	28	2 2 0
1.588	58.10	20	2 0 4
1.362	68.92	19	4 3 1
1.859	49.00	17	3 2 1
2.201	41.00	15	3 0 1
1.497	61.99	13	3 2 3